LiPmH6Pt: calculated powder diffraction line list (Cu Kα), based on a cell relaxed with PBE.
Neutral-atom scattering factors, no anomalous dispersion.

Structure:
Lattice parameters (Å, degrees): 4.5578 4.5578 4.4115 90.00 90.00 120.00
Space group P-6m2 (No. 187)
Unique sites:
Li  0.0000  0.0000  0.0000
Pm  0.6667  0.3333  0.5000
H  0.1752  0.3504  0.2737
Pt  0.3333  0.6667  0.0000

Largest 6 diffraction maxima, low angle first, 2θ from 10° to 80°:
(1 0 0), 22.5°, d = 3.947 Å, I 34
(1 0 1), 30.4°, d = 2.942 Å, I 100
(1 1 0), 39.5°, d = 2.279 Å, I 33
(2 0 1), 50.7°, d = 1.802 Å, I 25
(1 1 2), 58.2°, d = 1.585 Å, I 22
(2 1 1), 66.1°, d = 1.413 Å, I 22

LiPrMg2Au2: calculated powder diffraction line list (Cu Kα), based on a cell relaxed with PBE.
Neutral-atom scattering factors, no anomalous dispersion.

Structure:
Lattice parameters (Å, degrees): 4.3893 4.3893 15.3332 90.00 90.00 90.00
Space group I4/mmm (No. 139)
Unique sites:
Li  0.0000  0.0000  0.0000
Pr  0.0000  0.0000  0.5000
Mg  0.0000  0.5000  0.2500
Au  0.0000  0.0000  0.1492

Largest 6 diffraction maxima, low angle first, 2θ from 10° to 80°:
(1 0 3), 26.8°, d = 3.330 Å, I 100
(1 1 0), 28.8°, d = 3.104 Å, I 38
(2 0 0), 41.1°, d = 2.195 Å, I 22
(1 1 6), 46.0°, d = 1.973 Å, I 24
(2 1 3), 49.8°, d = 1.832 Å, I 38
(3 1 6), 78.4°, d = 1.220 Å, I 10

Ba4Na2As: calculated powder diffraction line list (Cu Kα), based on a cell relaxed with PBE.
Neutral-atom scattering factors, no anomalous dispersion.

Structure:
Lattice parameters (Å, degrees): 19.5733 4.7948 8.0354 90.00 104.44 90.00
Space group C2/m (No. 12)
Unique sites:
Ba  0.0650  0.0000  0.2745
Ba  0.1358  0.5000  0.8394
Na  0.2384  0.5000  0.3456
As  0.0000  0.5000  0.0000

Largest 6 diffraction maxima, low angle first, 2θ from 10° to 80°:
(1 1 1), 22.9°, d = 3.888 Å, I 100
(3 1 -1), 24.3°, d = 3.656 Å, I 94
(3 1 1), 27.5°, d = 3.241 Å, I 40
(6 0 -1), 27.7°, d = 3.220 Å, I 44
(1 1 2), 30.9°, d = 2.898 Å, I 36
(7 1 0), 38.2°, d = 2.358 Å, I 41

Ba2Sb4Pd3Pb: calculated powder diffraction line list (Cu Kα), based on a cell relaxed with PBE.
Neutral-atom scattering factors, no anomalous dispersion.

Structure:
Lattice parameters (Å, degrees): 4.9273 4.9273 11.2193 90.00 90.00 90.00
Space group P-4m2 (No. 115)
Unique sites:
Ba  0.0000  0.5000  0.2403
Sb  0.0000  0.0000  0.0000
Sb  0.0000  0.5000  0.6505
Sb  0.5000  0.5000  0.0000
Pd  0.0000  0.5000  0.8904
Pd  0.5000  0.5000  0.5000
Pb  0.0000  0.0000  0.5000

Largest 6 diffraction maxima, low angle first, 2θ from 10° to 80°:
(1 0 3), 30.0°, d = 2.979 Å, I 40
(1 1 2), 30.2°, d = 2.960 Å, I 100
(2 0 0), 36.5°, d = 2.464 Å, I 68
(1 1 4), 41.3°, d = 2.185 Å, I 28
(2 2 0), 52.5°, d = 1.742 Å, I 24
(3 1 2), 61.8°, d = 1.501 Å, I 26

- What is the formula in the fourth record?
  Ba2Sb4Pd3Pb

What did the first record say?
LiPmH6Pt: calculated powder diffraction line list (Cu Kα), based on a cell relaxed with PBE.
Neutral-atom scattering factors, no anomalous dispersion.

Structure:
Lattice parameters (Å, degrees): 4.5578 4.5578 4.4115 90.00 90.00 120.00
Space group P-6m2 (No. 187)
Unique sites:
Li  0.0000  0.0000  0.0000
Pm  0.6667  0.3333  0.5000
H  0.1752  0.3504  0.2737
Pt  0.3333  0.6667  0.0000

Largest 6 diffraction maxima, low angle first, 2θ from 10° to 80°:
(1 0 0), 22.5°, d = 3.947 Å, I 34
(1 0 1), 30.4°, d = 2.942 Å, I 100
(1 1 0), 39.5°, d = 2.279 Å, I 33
(2 0 1), 50.7°, d = 1.802 Å, I 25
(1 1 2), 58.2°, d = 1.585 Å, I 22
(2 1 1), 66.1°, d = 1.413 Å, I 22